Structure and theoretical powder diffractogram of Na4MgCu4O8 (a cell relaxed with GGA-PBE; Cu Kα X-rays).
No peak broadening, texture or thermal motion is included.

Lattice parameters (Å, degrees): 5.541 5.657 8.655 80.79 73.83 75.23
Atoms (fractional coordinates):
Na 0.000 0.000 0.000
Na 0.034 0.489 0.995
Na 0.180 0.291 0.646
Na 0.631 0.700 0.378
Mg 0.185 0.791 0.652
Cu 0.131 0.886 0.322
Cu 0.154 0.375 0.323
Cu 0.605 0.150 0.798
Cu 0.612 0.648 0.803
O 0.026 0.691 0.210
O 0.061 0.179 0.200
O 0.221 0.600 0.453
O 0.247 0.048 0.448
O 0.385 0.946 0.768
O 0.388 0.481 0.764
O 0.812 0.340 0.847
O 0.844 0.831 0.819

Main lines, by angle (15 to 90 degrees two-theta):
Position (°2θ)  d (Å)  intensity  hkl
17.77  4.991  42.9  1 0 1
21.48  4.137  78.8  0 0 2
22.38  3.973  100.0  1 0 -1
32.76  2.734  20.4  1 0 3
33.60  2.667  19.1  1 2 0
34.57  2.594  24.0  2 0 0
40.70  2.217  47.0  1 0 -3
45.89  1.978  25.1  1 -2 2
46.01  1.973  24.6  2 2 3
56.36  1.632  18.8  3 2 0